Simulated powder XRD pattern of Zr9CoMo4 for Cu Kα, 1.54184 Å, from DFT lattice parameters and positions (PBE).
Lines closer than 0.1° are merged.

a = 8.8050 Å, b = 8.8050 Å, c = 8.4313 Å
α = 90.00°, β = 90.00°, γ = 120.00°
Fractional positions:
Zr: 0.0844 0.5422 0.2500
Zr: 0.2011 0.4023 0.5569
Zr: 0.2011 0.4023 0.9431
Zr: 0.2011 0.7989 0.5569
Zr: 0.2011 0.7989 0.9431
Zr: 0.4023 0.2011 0.0569
Zr: 0.4023 0.2011 0.4431
Zr: 0.4578 0.5422 0.2500
Zr: 0.4578 0.9156 0.2500
Zr: 0.5422 0.0844 0.7500
Zr: 0.5422 0.4578 0.7500
Zr: 0.5977 0.7989 0.5569
Zr: 0.5977 0.7989 0.9431
Zr: 0.7989 0.2011 0.0569
Zr: 0.7989 0.2011 0.4431
Zr: 0.7989 0.5977 0.0569
Zr: 0.7989 0.5977 0.4431
Zr: 0.9156 0.4578 0.7500
Co: 0.3333 0.6667 0.7500
Co: 0.6667 0.3333 0.2500
Mo: 0.0000 0.0000 0.0000
Mo: 0.0000 0.0000 0.5000
Mo: 0.1103 0.2207 0.2500
Mo: 0.1103 0.8897 0.2500
Mo: 0.2207 0.1103 0.7500
Mo: 0.7793 0.8897 0.2500
Mo: 0.8897 0.1103 0.7500
Mo: 0.8897 0.7793 0.7500

Largest 12 diffraction maxima, low angle first, 10° ≤ 2θ ≤ 90°:
two_theta  I/Imax
11.61  14
34.00  20
35.31  14
36.94  72
37.81  100
39.85  44
41.00  19
42.91  13
62.54  21
63.38  18
65.04  21
66.55  28

Simulated powder XRD pattern of Co2N3 for Cu Kα, 1.54184 Å, from DFT lattice parameters and positions (PBE).
Lines closer than 0.1° are merged.

a = 5.1299 Å, b = 5.1299 Å, c = 5.1299 Å
α = 54.81°, β = 54.81°, γ = 54.81°
Fractional positions:
Co: 0.1473 0.1473 0.1473
Co: 0.3527 0.3527 0.3527
Co: 0.6473 0.6473 0.6473
Co: 0.8527 0.8527 0.8527
N: 0.0718 0.7500 0.4282
N: 0.2500 0.5718 0.9282
N: 0.4282 0.0718 0.7500
N: 0.5718 0.9282 0.2500
N: 0.7500 0.4282 0.0718
N: 0.9282 0.2500 0.5718

Largest 12 diffraction maxima, low angle first, 10° ≤ 2θ ≤ 90°:
two_theta  I/Imax
25.72  28
35.21  100
38.11  81
41.57  6
43.62  10
52.85  32
57.65  48
67.00  28
68.87  27
76.73  12
81.53  8
89.07  8

Repeat the first record exactly.
Simulated powder XRD pattern of Zr9CoMo4 for Cu Kα, 1.54184 Å, from DFT lattice parameters and positions (PBE).
Lines closer than 0.1° are merged.

a = 8.8050 Å, b = 8.8050 Å, c = 8.4313 Å
α = 90.00°, β = 90.00°, γ = 120.00°
Fractional positions:
Zr: 0.0844 0.5422 0.2500
Zr: 0.2011 0.4023 0.5569
Zr: 0.2011 0.4023 0.9431
Zr: 0.2011 0.7989 0.5569
Zr: 0.2011 0.7989 0.9431
Zr: 0.4023 0.2011 0.0569
Zr: 0.4023 0.2011 0.4431
Zr: 0.4578 0.5422 0.2500
Zr: 0.4578 0.9156 0.2500
Zr: 0.5422 0.0844 0.7500
Zr: 0.5422 0.4578 0.7500
Zr: 0.5977 0.7989 0.5569
Zr: 0.5977 0.7989 0.9431
Zr: 0.7989 0.2011 0.0569
Zr: 0.7989 0.2011 0.4431
Zr: 0.7989 0.5977 0.0569
Zr: 0.7989 0.5977 0.4431
Zr: 0.9156 0.4578 0.7500
Co: 0.3333 0.6667 0.7500
Co: 0.6667 0.3333 0.2500
Mo: 0.0000 0.0000 0.0000
Mo: 0.0000 0.0000 0.5000
Mo: 0.1103 0.2207 0.2500
Mo: 0.1103 0.8897 0.2500
Mo: 0.2207 0.1103 0.7500
Mo: 0.7793 0.8897 0.2500
Mo: 0.8897 0.1103 0.7500
Mo: 0.8897 0.7793 0.7500

Largest 12 diffraction maxima, low angle first, 10° ≤ 2θ ≤ 90°:
two_theta  I/Imax
11.61  14
34.00  20
35.31  14
36.94  72
37.81  100
39.85  44
41.00  19
42.91  13
62.54  21
63.38  18
65.04  21
66.55  28